[1]
Computed powder diffractogram of RbErAgI6 for copper Kα, from DFT lattice parameters and positions (PBE).
Kinematic intensities with the Lorentz-polarization factor, no thermal factor.

Main lines, low angle first (2θ from 10° to 80°):
11.01 deg, 8.037 Å, rel. 79.8; 17.74 deg, 5.000 Å, rel. 45.4; 23.01 deg, 3.866 Å, rel. 70.2; 25.48 deg, 3.496 Å, rel. 42.3; 26.53 deg, 3.360 Å, rel. 100.0; 29.15 deg, 3.063 Å, rel. 45.3; 33.33 deg, 2.688 Å, rel. 91.0; 33.83 deg, 2.650 Å, rel. 36.0; 38.87 deg, 2.317 Å, rel. 73.7; 40.22 deg, 2.242 Å, rel. 36.9

Crystal structure
Cell lengths 7.6262, 7.6308, 8.0889 Å; angles 93.53, 93.55, 113.70 degrees
Element x y z (fractional)
Rb (0.0000, 0.0000, 0.0000)
Er (0.3412, 0.6596, 0.5004)
Ag (0.6891, 0.3128, 0.4994)
I (0.0298, 0.6114, 0.2462)
I (0.0377, 0.3564, 0.6805)
I (0.3893, 0.9700, 0.7550)
I (0.4237, 0.3722, 0.2710)
I (0.6287, 0.5763, 0.7290)
I (0.6437, 0.9630, 0.3197)

***

[2]
Computed powder diffractogram of Ho2Re3Os for copper Kα, from DFT lattice parameters and positions (PBE).
Kinematic intensities with the Lorentz-polarization factor, no thermal factor.

Main lines, low angle first (2θ from 10° to 80°):
32.62 deg, 2.745 Å, rel. 23.6; 33.86 deg, 2.647 Å, rel. 22.1; 38.25 deg, 2.353 Å, rel. 51.8; 39.34 deg, 2.291 Å, rel. 100.0; 39.45 deg, 2.284 Å, rel. 25.5; 39.87 deg, 2.261 Å, rel. 46.4; 41.54 deg, 2.174 Å, rel. 63.2; 64.25 deg, 1.450 Å, rel. 20.0; 68.35 deg, 1.372 Å, rel. 30.8; 71.29 deg, 1.323 Å, rel. 18.2

Crystal structure
Cell lengths 5.2915, 5.2915, 5.4978 Å; angles 118.78, 118.78, 60.11 degrees
Element x y z (fractional)
Ho (0.1261, 0.1261, 0.3782)
Ho (0.8739, 0.8739, 0.6218)
Re (0.0000, 0.5000, 0.0000)
Re (0.5000, 0.0000, 0.0000)
Re (0.5000, 0.5000, 0.0000)
Os (0.5000, 0.5000, 0.5000)

***

[3]
Computed powder diffractogram of Ac4MgSn2 for copper Kα, from DFT lattice parameters and positions (PBE).
Kinematic intensities with the Lorentz-polarization factor, no thermal factor.

Main lines, low angle first (2θ from 10° to 80°):
21.31 deg, 4.169 Å, rel. 27.0; 27.84 deg, 3.205 Å, rel. 34.0; 28.09 deg, 3.176 Å, rel. 29.3; 28.39 deg, 3.144 Å, rel. 41.2; 29.09 deg, 3.069 Å, rel. 33.3; 29.57 deg, 3.021 Å, rel. 100.0; 34.02 deg, 2.635 Å, rel. 29.3; 44.75 deg, 2.025 Å, rel. 24.7; 51.34 deg, 1.780 Å, rel. 20.6; 54.80 deg, 1.675 Å, rel. 13.2

Crystal structure
Cell lengths 7.3120, 10.7008, 6.6528 Å; angles 90.00, 90.00, 90.00 degrees
Element x y z (fractional)
Ac (0.0035, 0.2500, 0.1010)
Ac (0.2500, 0.5626, 0.3421)
Ac (0.2500, 0.9374, 0.3421)
Ac (0.4965, 0.2500, 0.1010)
Ac (0.5035, 0.7500, 0.8990)
Ac (0.7500, 0.0626, 0.6579)
Ac (0.7500, 0.4374, 0.6579)
Ac (0.9965, 0.7500, 0.8990)
Mg (0.2500, 0.2500, 0.5831)
Mg (0.7500, 0.7500, 0.4169)
Sn (0.2500, 0.0238, 0.8297)
Sn (0.2500, 0.4762, 0.8297)
Sn (0.7500, 0.5238, 0.1703)
Sn (0.7500, 0.9762, 0.1703)